(1)
# MgH20Br4N4O4
Calculated XRD peak list, Cu Kα. Input: a PBE-relaxed structure.

Largest 12 diffraction maxima, in order of rising 2θ, 10 to 90 degrees two-theta:
2θ (°)  I_rel
13.7  62
16.9  32
21.6  32
25.3  25
25.8  22
26.2  100
26.6  27
28.0  25
28.6  32
29.0  25
29.4  21
42.1  18

Atomic structure:
```
data_MgH20Br4N4O4
_symmetry_space_group_name_H-M 'P 1'
_symmetry_Int_Tables_number 1
_symmetry_space_group_name_Hall 'P 1'
_cell_length_a 7.1247
_cell_length_b 7.5747
_cell_length_c 8.4168
_cell_angle_alpha 88.00
_cell_angle_beta 66.34
_cell_angle_gamma 82.23
loop_
_atom_site_label
_atom_site_type_symbol
_atom_site_fract_x
_atom_site_fract_y
_atom_site_fract_z
Mg1 Mg 0.0000 0.0000 0.0000
H1 H 0.2065 0.3415 0.8769
H2 H 0.2246 0.1642 0.3953
H3 H 0.2905 0.0516 0.5247
H4 H 0.3082 0.4203 0.9907
H5 H 0.3171 0.8656 0.0663
H6 H 0.3493 0.5616 0.5420
H7 H 0.3608 0.0693 0.9810
H8 H 0.4092 0.3394 0.4721
H9 H 0.4150 0.8906 0.8529
H10 H 0.5004 0.3920 0.7111
H11 H 0.5699 0.4966 0.3527
H12 H 0.6025 0.9923 0.2098
H13 H 0.6419 0.9406 0.0093
H14 H 0.6600 0.5478 0.5832
H15 H 0.7051 0.7871 0.1299
H16 H 0.7162 0.3237 0.5147
H17 H 0.7632 0.8310 0.5194
H18 H 0.7968 0.4672 0.0859
H19 H 0.8368 0.7377 0.6528
H20 H 0.8958 0.5468 0.2018
Br1 Br 0.1221 0.7911 0.7089
Br2 Br 0.1930 0.5730 0.2314
Br3 Br 0.9145 0.2864 0.8515
Br4 Br 0.9203 0.0952 0.3378
N1 N 0.3138 0.9502 0.9687
N2 N 0.4699 0.4585 0.4804
N3 N 0.5976 0.4280 0.5791
N4 N 0.7032 0.9208 0.1003
O1 O 0.3394 0.1403 0.4337
O2 O 0.3409 0.3410 0.8868
O3 O 0.7188 0.7490 0.6173
O4 O 0.7630 0.5482 0.1870
```

---

(2)
# Ti3CuO8
Calculated XRD peak list, Cu Kα. Input: a PBE-relaxed structure.

Largest 12 diffraction maxima, in order of rising 2θ, 10 to 90 degrees two-theta:
2θ (°)  I_rel
25.2  100
36.7  8
37.5  19
38.3  10
47.8  28
53.5  19
54.7  19
62.3  14
68.3  7
69.9  7
74.5  12
82.1  6

Atomic structure:
```
data_Ti3CuO8
_symmetry_space_group_name_H-M 'P 1'
_symmetry_Int_Tables_number 1
_symmetry_space_group_name_Hall 'P 1'
_cell_length_a 3.8082
_cell_length_b 3.8082
_cell_length_c 9.5849
_cell_angle_alpha 90.00
_cell_angle_beta 90.00
_cell_angle_gamma 90.00
loop_
_atom_site_label
_atom_site_type_symbol
_atom_site_fract_x
_atom_site_fract_y
_atom_site_fract_z
Ti1 Ti 0.0000 0.0000 0.0000
Ti2 Ti 0.0000 0.5000 0.2542
Ti3 Ti 0.5000 0.0000 0.7458
Cu1 Cu 0.5000 0.5000 0.5000
O1 O 0.0000 0.0000 0.2087
O2 O 0.0000 0.0000 0.7913
O3 O 0.0000 0.5000 0.0424
O4 O 0.0000 0.5000 0.4586
O5 O 0.5000 0.0000 0.5414
O6 O 0.5000 0.0000 0.9576
O7 O 0.5000 0.5000 0.3010
O8 O 0.5000 0.5000 0.6990
```

---

(3)
# RbPd2F5
Calculated XRD peak list, Cu Kα. Input: a PBE-relaxed structure.

Largest 12 diffraction maxima, in order of rising 2θ, 10 to 90 degrees two-theta:
2θ (°)  I_rel
14.0  41
15.9  20
27.0  60
27.9  84
28.1  95
30.9  100
32.0  68
42.8  36
46.6  24
48.8  20
49.5  86
57.7  26

Atomic structure:
```
data_RbPd2F5
_symmetry_space_group_name_H-M 'P 1'
_symmetry_Int_Tables_number 1
_symmetry_space_group_name_Hall 'P 1'
_cell_length_a 7.4523
_cell_length_b 7.4523
_cell_length_c 7.4523
_cell_angle_alpha 128.25
_cell_angle_beta 117.00
_cell_angle_gamma 85.81
loop_
_atom_site_label
_atom_site_type_symbol
_atom_site_fract_x
_atom_site_fract_y
_atom_site_fract_z
Rb1 Rb 0.3559 0.1059 0.2500
Rb2 Rb 0.6441 0.8941 0.7500
Pd1 Pd 0.0000 0.0000 0.5000
Pd2 Pd 0.0000 0.5000 0.0000
Pd3 Pd 0.0000 0.5000 0.5000
Pd4 Pd 0.5000 0.5000 0.0000
F1 F 0.0507 0.3597 0.1710
F2 F 0.0507 0.8796 0.6910
F3 F 0.3114 0.1204 0.6710
F4 F 0.3114 0.6404 0.1910
F5 F 0.3430 0.5930 0.7500
F6 F 0.6570 0.4070 0.2500
F7 F 0.6886 0.3597 0.8090
F8 F 0.6886 0.8796 0.3290
F9 F 0.9493 0.1204 0.3090
F10 F 0.9493 0.6404 0.8290
```

---

(4)
# CaTi4S8
Calculated XRD peak list, Cu Kα. Input: a PBE-relaxed structure.

Largest 12 diffraction maxima, in order of rising 2θ, 10 to 90 degrees two-theta:
2θ (°)  I_rel
13.0  81
30.4  10
34.9  100
43.5  18
46.9  33
53.4  27
55.2  9
58.7  10
65.4  13
73.8  8
79.3  10
89.2  12

Atomic structure:
```
data_CaTi4S8
_symmetry_space_group_name_H-M 'P 1'
_symmetry_Int_Tables_number 1
_symmetry_space_group_name_Hall 'P 1'
_cell_length_a 7.8708
_cell_length_b 7.8708
_cell_length_c 7.8708
_cell_angle_alpha 51.73
_cell_angle_beta 51.73
_cell_angle_gamma 51.73
loop_
_atom_site_label
_atom_site_type_symbol
_atom_site_fract_x
_atom_site_fract_y
_atom_site_fract_z
Ca1 Ca 0.0000 0.0000 0.0000
Ti1 Ti 0.0000 0.0000 0.5000
Ti2 Ti 0.0000 0.5000 0.0000
Ti3 Ti 0.5000 0.0000 0.0000
Ti4 Ti 0.5000 0.5000 0.5000
S1 S 0.2360 0.2360 0.2360
S2 S 0.2416 0.7358 0.7358
S3 S 0.2642 0.2642 0.7584
S4 S 0.2642 0.7584 0.2642
S5 S 0.7358 0.2416 0.7358
S6 S 0.7358 0.7358 0.2416
S7 S 0.7584 0.2642 0.2642
S8 S 0.7640 0.7640 0.7640
```